(1)
This entry pairs a crystal structure of Li2PmGa with its calculated powder XRD pattern. Radiation: Cu Kα (weighted mean of Kα1 and Kα2). Structure: a cell relaxed with PBE.

Crystal structure
abc: 6.730 6.730 6.730
angles: 90.00 90.00 90.00
Space group Fm-3m (No. 225)
One atom of each set of equivalent atoms:
Li 0.250 0.250 0.250
Pm 0.000 0.000 0.000
Ga 0.000 0.000 0.500

Top 8 peaks for 5 to 70 degrees two-theta, low angle first:
- 2θ = 22.89°, d = 3.886 Å, I = 23.2, hkl 1 1 1
- 2θ = 26.49°, d = 3.365 Å, I = 100.0, hkl 2 0 0
- 2θ = 37.81°, d = 2.379 Å, I = 94.2, hkl 2 2 0
- 2θ = 44.66°, d = 2.029 Å, I = 12.1, hkl 3 1 1
- 2θ = 46.76°, d = 1.943 Å, I = 28.4, hkl 2 2 2
- 2θ = 54.54°, d = 1.683 Å, I = 16.2, hkl 4 0 0
- 2θ = 61.63°, d = 1.505 Å, I = 36.9, hkl 4 2 0
- 2θ = 68.27°, d = 1.374 Å, I = 32.6, hkl 4 2 2

***

(2)
This entry pairs a crystal structure of Li2PrGa with its calculated powder XRD pattern. Radiation: Cu Kα (weighted mean of Kα1 and Kα2). Structure: a cell relaxed with PBE.

Crystal structure
abc: 6.811 6.811 6.811
angles: 90.00 90.00 90.00
Space group Fm-3m (No. 225)
One atom of each set of equivalent atoms:
Li 0.250 0.250 0.250
Pr 0.000 0.000 0.000
Ga 0.000 0.000 0.500

Top 8 peaks for 5 to 70 degrees two-theta, low angle first:
- 2θ = 22.61°, d = 3.932 Å, I = 21.1, hkl 1 1 1
- 2θ = 26.17°, d = 3.405 Å, I = 100.0, hkl 2 0 0
- 2θ = 37.34°, d = 2.408 Å, I = 94.9, hkl 2 2 0
- 2θ = 44.10°, d = 2.054 Å, I = 11.0, hkl 3 1 1
- 2θ = 46.17°, d = 1.966 Å, I = 28.5, hkl 2 2 2
- 2θ = 53.84°, d = 1.703 Å, I = 16.4, hkl 4 0 0
- 2θ = 60.82°, d = 1.523 Å, I = 37.1, hkl 4 2 0
- 2θ = 67.36°, d = 1.390 Å, I = 32.9, hkl 4 2 2

***

(3)
This entry pairs a crystal structure of LiGa2Pt with its calculated powder XRD pattern. Radiation: Cu Kα (weighted mean of Kα1 and Kα2). Structure: a cell relaxed with PBE.

Crystal structure
abc: 6.171 6.171 6.171
angles: 90.00 90.00 90.00
Space group Fm-3m (No. 225)
One atom of each set of equivalent atoms:
Li 0.000 0.000 0.000
Ga 0.250 0.250 0.250
Pt 0.000 0.000 0.500

Top 8 peaks for 5 to 70 degrees two-theta, low angle first:
- 2θ = 24.99°, d = 3.563 Å, I = 73.2, hkl 1 1 1
- 2θ = 28.94°, d = 3.085 Å, I = 2.6, hkl 2 0 0
- 2θ = 41.38°, d = 2.182 Å, I = 100.0, hkl 2 2 0
- 2θ = 48.96°, d = 1.861 Å, I = 36.7, hkl 3 1 1
- 2θ = 51.29°, d = 1.781 Å, I = 0.8, hkl 2 2 2
- 2θ = 59.96°, d = 1.543 Å, I = 16.7, hkl 4 0 0
- 2θ = 65.99°, d = 1.416 Å, I = 15.2, hkl 3 3 1
- 2θ = 67.93°, d = 1.380 Å, I = 1.2, hkl 4 2 0